Rb3Pa3PN8: computed PXRD pattern (CuKα), based on the GGA-PBE geometry in Alexandria.
Intensities are scaled so that the largest is 100.

Structural model:
```
Rb3Pa3PN8
1.0
6.2164 -3.3994 0.0000
6.2164 3.3994 0.0000
-4.0209 0.0000 6.7823
Rb Pa P N
3 3 1 8
Direct
0.0000 0.0000 0.0000
0.0000 0.5000 0.0000
0.5000 0.0000 0.0000
0.0000 0.5000 0.5000
0.5000 0.0000 0.5000
0.5000 0.5000 0.5000
0.0000 0.0000 0.5000
0.1535 0.7833 0.6208
0.2167 0.8465 0.3792
0.2929 0.2929 0.6926
0.2973 0.2973 0.3374
0.7027 0.7027 0.6626
0.7071 0.7071 0.3074
0.7833 0.1535 0.6208
0.8465 0.2167 0.3792
```

Peak list (10 most intense, 15° ≤ 2θ ≤ 90°, by angle)
two_theta	I_rel
17.3	38
22.8	30
26.3	93
30.2	57
31.2	100
33.5	56
35.0	97
46.7	40
51.7	32
54.8	28